The following is a theoretical X-ray diffraction stick pattern of Ni2Pt3Rh. It was derived from a structure optimized by DFT (PBE), using CuKα.

Peak list (10 most intense, 10° ≤ 2θ ≤ 80°, most intense first)
| 2θ (°) | Rel. int. |
| --- | --- |
| 40.89 | 100.0 |
| 47.07 | 33.7 |
| 69.94 | 19.8 |
| 23.73 | 17.1 |
| 32.80 | 15.8 |
| 48.55 | 14.8 |
| 68.77 | 10.8 |
| 53.38 | 8.4 |
| 59.84 | 5.7 |
| 73.88 | 3.4 |

Unit cell a=6.107 b=6.107 c=7.500 alpha=90.00 beta=90.00 gamma=143.16
Positions (direct):
Ni 0.000 0.000 0.000
Ni 0.000 0.000 0.500
Ni 0.333 0.667 0.000
Ni 0.667 0.333 0.000
Pt 0.166 0.834 0.241
Pt 0.166 0.834 0.759
Pt 0.500 0.500 0.241
Pt 0.500 0.500 0.759
Pt 0.834 0.166 0.241
Pt 0.834 0.166 0.759
Rh 0.336 0.664 0.500
Rh 0.664 0.336 0.500